No. 1
FeAuICl3: simulated powder X-ray diffraction pattern (λ = 1.5418 Å (Cu Kα)), based on the PBE geometry in OQMD.
Peak positions follow from Bragg's law for the DFT cell and can differ from measured ones.

Top 10 peaks for 10° ≤ 2θ ≤ 80°, sorted by position:
2θ 16.39, I = 48, hkl 0 0 1; 2θ 17.28, I = 58, hkl 1 0 0; 2θ 17.38, I = 36, hkl 1 0 -1; 2θ 17.76, I = 100, hkl 0 1 -1; 2θ 22.21, I = 31, hkl 1 1 -1; 2θ 25.43, I = 35, hkl -1 1 1; 2θ 26.68, I = 80, hkl 1 1 0; 2θ 27.30, I = 33, hkl 1 -1 1; 2θ 28.74, I = 43, hkl 1 1 -2; 2θ 47.79, I = 29, hkl 0 2 -3

Structure:
Cell lengths 5.8256, 5.9994, 6.5046 Å; angles 109.78, 114.39, 94.45 degrees
Space group P1 (No. 1)
Unique sites:
Fe1 0.0000 0.0000 0.0000 (multiplicity 1)
Au1 0.2322 0.6861 0.4443 (multiplicity 1)
I1 0.4236 0.3517 0.2425 (multiplicity 1)
Cl1 0.1034 0.6870 0.7873 (multiplicity 1)
Cl2 0.6724 0.1082 0.7706 (multiplicity 1)
Cl3 0.9097 0.9173 0.2730 (multiplicity 1)

No. 2
Tl2FeAuCl6: simulated powder X-ray diffraction pattern (λ = 1.5418 Å (Cu Kα)), based on the PBE geometry in OQMD.
Peak positions follow from Bragg's law for the DFT cell and can differ from measured ones.

Top 10 peaks for 10° ≤ 2θ ≤ 80°, sorted by position:
2θ 15.25, I = 8, hkl 1 0 1; 2θ 25.03, I = 100, hkl 2 0 0; 2θ 29.44, I = 8, hkl 1 2 1; 2θ 30.78, I = 15, hkl 2 0 2; 2θ 35.69, I = 45, hkl 0 0 4; 2θ 44.09, I = 46, hkl 3 1 2; 2θ 51.36, I = 30, hkl 2 2 4; 2θ 57.96, I = 21, hkl 4 2 0; 2θ 64.12, I = 10, hkl 4 0 4; 2θ 69.96, I = 24, hkl 1 5 2

Structure:
Cell lengths 7.1128, 7.1128, 10.0707 Å; angles 90.00, 90.00, 90.00 degrees
Space group I4/m (No. 87)
Unique sites:
Tl1 0.0000 0.5000 0.2500 (multiplicity 4)
Fe1 0.0000 0.0000 0.0000 (multiplicity 2)
Au1 0.0000 0.0000 0.5000 (multiplicity 2)
Cl1 0.0000 0.0000 0.2383 (multiplicity 4)
Cl2 0.2305 0.7537 0.0000 (multiplicity 8)

No. 3
KAuCl4: simulated powder X-ray diffraction pattern (λ = 1.5418 Å (Cu Kα)), based on the PBE geometry in OQMD.
Peak positions follow from Bragg's law for the DFT cell and can differ from measured ones.

Top 10 peaks for 10° ≤ 2θ ≤ 80°, sorted by position:
2θ 14.54, I = 49, hkl 0 0 2; 2θ 15.59, I = 100, hkl 0 1 1; 2θ 20.29, I = 28, hkl 2 0 0; 2θ 23.87, I = 26, hkl 2 0 -2; 2θ 25.12, I = 55, hkl 2 1 -1; 2θ 25.95, I = 25, hkl 0 1 3; 2θ 26.24, I = 44, hkl 2 1 1; 2θ 34.63, I = 14, hkl 2 2 0; 2θ 36.94, I = 21, hkl 2 2 -2; 2θ 43.08, I = 13, hkl 2 1 -5

Structure:
Cell lengths 8.7940, 6.4256, 12.2420 Å; angles 90.00, 95.49, 90.00 degrees
Space group Pc (No. 7)
Unique sites:
K1 0.0000 0.2012 0.0000 (multiplicity 2)
K2 0.5773 0.2970 0.6361 (multiplicity 2)
Au1 0.2868 0.2517 0.3214 (multiplicity 2)
Au2 0.7876 0.2530 0.3166 (multiplicity 2)
Cl1 0.1227 0.0094 0.7507 (multiplicity 2)
Cl2 0.2832 0.4026 0.1495 (multiplicity 2)
Cl3 0.2920 0.0990 0.4936 (multiplicity 2)
Cl4 0.4508 0.4878 0.8922 (multiplicity 2)
Cl5 0.6601 0.0438 0.8663 (multiplicity 2)
Cl6 0.6931 0.2019 0.1348 (multiplicity 2)
Cl7 0.8830 0.3021 0.4986 (multiplicity 2)
Cl8 0.9147 0.4505 0.7670 (multiplicity 2)

No. 4
LiAuCl4: simulated powder X-ray diffraction pattern (λ = 1.5418 Å (Cu Kα)), based on the PBE geometry in OQMD.
Peak positions follow from Bragg's law for the DFT cell and can differ from measured ones.

Top 10 peaks for 10° ≤ 2θ ≤ 80°, sorted by position:
2θ 13.28, I = 100, hkl 1 0 0; 2θ 18.83, I = 31, hkl 1 1 0; 2θ 25.41, I = 31, hkl 0 0 2; 2θ 28.78, I = 34, hkl 1 0 2; 2θ 29.98, I = 24, hkl 2 1 0; 2θ 31.82, I = 21, hkl 1 1 2; 2θ 39.69, I = 23, hkl 2 1 2; 2θ 42.91, I = 15, hkl 3 1 0; 2θ 46.43, I = 15, hkl 2 2 2; 2θ 50.53, I = 20, hkl 3 1 2

Structure:
Cell lengths 6.6657, 6.6657, 7.0098 Å; angles 90.00, 90.00, 90.00 degrees
Space group P-42c (No. 112)
Unique sites:
Li1 0.0000 0.5000 0.2500 (multiplicity 2)
Au1 0.0000 0.0000 0.0000 (multiplicity 2)
Cl1 0.1785 0.2991 0.4916 (multiplicity 8)

No. 5
PAuCl8: simulated powder X-ray diffraction pattern (λ = 1.5418 Å (Cu Kα)), based on the PBE geometry in OQMD.
Peak positions follow from Bragg's law for the DFT cell and can differ from measured ones.

Top 10 peaks for 10° ≤ 2θ ≤ 80°, sorted by position:
2θ 11.17, I = 29, hkl 0 2 0; 2θ 14.24, I = 41, hkl 2 0 0; 2θ 17.73, I = 62, hkl 1 1 2; 2θ 18.14, I = 100, hkl 2 2 0; 2θ 18.92, I = 44, hkl 0 2 2; 2θ 20.91, I = 36, hkl 2 0 2; 2θ 23.85, I = 39, hkl 1 3 2; 2θ 27.00, I = 45, hkl 3 1 2; 2θ 32.09, I = 55, hkl 1 1 4; 2θ 33.95, I = 28, hkl 0 6 0

Structure:
Cell lengths 12.4385, 15.8420, 11.6392 Å; angles 90.00, 90.00, 90.00 degrees
Space group Imma (No. 74)
Unique sites:
P1 0.2500 0.0016 0.2500 (multiplicity 8)
Au1 0.0000 0.2500 0.0666 (multiplicity 4)
Au2 0.0000 0.2500 0.5786 (multiplicity 4)
Cl1 0.0000 0.1038 0.0660 (multiplicity 8)
Cl2 0.0000 0.1037 0.5781 (multiplicity 8)
Cl3 0.0000 0.2500 0.3788 (multiplicity 4)
Cl4 0.0000 0.2500 0.7772 (multiplicity 4)
Cl5 0.1519 0.0740 0.3370 (multiplicity 16)
Cl6 0.1697 0.0704 0.8569 (multiplicity 16)
Cl7 0.1862 0.2500 0.0643 (multiplicity 8)

No. 6
Rb3Au3Cl8: simulated powder X-ray diffraction pattern (λ = 1.5418 Å (Cu Kα)), based on the PBE geometry in OQMD.
Peak positions follow from Bragg's law for the DFT cell and can differ from measured ones.

Top 10 peaks for 10° ≤ 2θ ≤ 80°, sorted by position:
2θ 16.27, I = 64, hkl 1 1 -2; 2θ 17.58, I = 19, hkl 1 1 2; 2θ 22.76, I = 44, hkl 2 0 -4; 2θ 23.40, I = 43, hkl 0 2 0; 2θ 24.97, I = 54, hkl 1 1 4; 2θ 25.23, I = 48, hkl 3 1 0; 2θ 32.89, I = 100, hkl 2 2 -4; 2θ 34.24, I = 22, hkl 3 1 4; 2θ 41.17, I = 16, hkl 1 1 -8; 2θ 52.65, I = 18, hkl 4 2 -8

Structure:
Cell lengths 12.0971, 7.6044, 18.3290 Å; angles 90.00, 98.73, 90.00 degrees
Space group C2/c (No. 15)
Unique sites:
Rb1 0.0000 0.0173 0.2500 (multiplicity 4)
Rb2 0.1835 0.5001 0.0815 (multiplicity 8)
Au1 0.0000 0.0000 0.0000 (multiplicity 4)
Au2 0.1128 0.4985 0.8078 (multiplicity 8)
Cl1 0.0370 0.2876 0.8766 (multiplicity 8)
Cl2 0.0633 0.2235 0.4273 (multiplicity 8)
Cl3 0.1810 0.0266 0.0673 (multiplicity 8)
Cl4 0.2068 0.2966 0.2465 (multiplicity 8)